(1)
# Li6PS5Br
Simulated powder X-ray diffraction pattern, Cu Kα X-rays. Input: a cell relaxed with PBE.

Largest 8 diffraction maxima, sorted by position, 2θ = 5–70°:
two_theta  Rel. int.
17.2  41.5
24.4  98.0
28.7  100.0
30.0  56.2
43.0  37.9
45.7  39.1
50.1  55.4
68.1  21.2

Structure:
```
Li6PS5Br
1.0
0.0000 5.1546 5.1546
5.1546 0.0000 5.1546
5.1546 5.1546 0.0000
Li P S Br
6 1 5 1
direct
0.2267 0.2267 0.7733
0.2267 0.7733 0.2267
0.2267 0.7733 0.7733
0.7733 0.2267 0.2267
0.7733 0.2267 0.7733
0.7733 0.7733 0.2267
0.7500 0.7500 0.7500
0.0000 0.0000 0.0000
0.0957 0.6348 0.6348
0.6348 0.0957 0.6348
0.6348 0.6348 0.0957
0.6348 0.6348 0.6348
0.2500 0.2500 0.2500
```

***

(2)
# Tl2AsHO4
Simulated powder X-ray diffraction pattern, Cu Kα X-rays. Input: a cell relaxed with PBE.

Largest 8 diffraction maxima, sorted by position, 2θ = 5–70°:
two_theta  Rel. int.
20.1  51.6
21.6  57.5
27.6  54.8
27.9  52.4
28.8  57.7
29.2  100.0
31.2  43.4
31.9  30.6

Structure:
```
Tl2AsHO4
1.0
4.6848 0.0000 0.0000
-1.7906 5.7439 0.0000
-0.1591 -2.6826 5.6490
Tl As H O
2 1 1 4
direct
0.0000 0.0000 0.0000
0.1965 0.3989 0.6890
0.4171 0.7783 0.3658
0.8805 0.5910 0.2271
0.0538 0.5276 0.2601
0.3819 0.0599 0.3844
0.5347 0.7836 0.6293
0.6310 0.6713 0.1506
```

***

(3)
# ThGeHPd
Simulated powder X-ray diffraction pattern, Cu Kα X-rays. Input: a cell relaxed with PBE.

Largest 8 diffraction maxima, sorted by position, 2θ = 5–70°:
two_theta  Rel. int.
23.2  20.2
32.5  100.0
40.8  45.4
45.9  10.4
52.0  6.0
53.1  25.5
63.0  24.2
69.1  23.4

Structure:
```
ThGeHPd
1.0
4.4233 0.0000 0.0000
-2.2116 3.8307 0.0000
0.0000 0.0000 3.9570
Th Ge H Pd
1 1 1 1
direct
0.0000 0.0000 0.0000
0.6667 0.3333 0.5272
0.3333 0.6667 0.0024
0.3333 0.6667 0.4791
```

***

(4)
# Li2Zn6Cu
Simulated powder X-ray diffraction pattern, Cu Kα X-rays. Input: a cell relaxed with PBE.

Largest 8 diffraction maxima, sorted by position, 2θ = 5–70°:
two_theta  Rel. int.
17.5  41.2
40.9  100.0
42.3  69.6
42.5  65.8
42.7  63.5
44.3  60.7
44.5  57.6
45.3  53.2

Structure:
```
Li2Zn6Cu
1.0
2.7464 0.0000 0.0000
1.3633 6.6643 0.0000
1.3212 0.7396 6.9524
Li Zn Cu
2 6 1
direct
0.0298 0.1674 0.2619
0.9702 0.8326 0.7381
0.3031 0.8307 0.0721
0.3364 0.4984 0.3282
0.3688 0.1634 0.5941
0.6312 0.8366 0.4059
0.6636 0.5016 0.6718
0.6969 0.1693 0.9279
0.0000 0.5000 0.0000
```

***

(5)
# Na3Sr6Hg
Simulated powder X-ray diffraction pattern, Cu Kα X-rays. Input: a cell relaxed with PBE.

Largest 8 diffraction maxima, sorted by position, 2θ = 5–70°:
two_theta  Rel. int.
10.5  46.0
15.6  15.5
16.3  23.7
26.0  47.6
28.5  100.0
31.6  24.5
31.6  31.4
43.0  19.6

Structure:
```
Na3Sr6Hg
1.0
6.2828 0.0000 0.0000
0.0000 10.8500 0.0000
-6.2661 0.0000 13.2602
Na Sr Hg
6 12 2
direct
0.0000 0.0000 0.0000
0.0000 0.5000 0.5000
0.2690 0.1562 0.7664
0.2690 0.3438 0.2664
0.7310 0.6562 0.7336
0.7310 0.8438 0.2336
0.0781 0.6538 0.0759
0.0781 0.8462 0.5759
0.2582 0.0106 0.2613
0.2582 0.4894 0.7613
0.4220 0.6882 0.4203
0.4220 0.8118 0.9203
0.5780 0.1882 0.0797
0.5780 0.3118 0.5797
0.7418 0.5106 0.2387
0.7418 0.9894 0.7387
0.9219 0.1538 0.4241
0.9219 0.3462 0.9241
0.5000 0.0000 0.5000
0.5000 0.5000 0.0000
```

***

(6)
# Ca2TcO6
Simulated powder X-ray diffraction pattern, Cu Kα X-rays. Input: a cell relaxed with PBE.

Largest 8 diffraction maxima, sorted by position, 2θ = 5–70°:
two_theta  Rel. int.
18.4  22.9
18.7  100.0
20.7  37.0
30.1  47.1
33.0  31.0
35.5  11.4
36.3  24.0
44.8  10.8

Structure:
```
Ca2TcO6
1.0
5.5772 0.0000 0.0000
0.0000 5.9399 0.0000
-4.5872 0.0000 7.9237
Ca Tc O
4 2 12
direct
0.1834 0.0883 0.2294
0.1834 0.4117 0.7294
0.8166 0.5883 0.2706
0.8166 0.9117 0.7706
0.5000 0.0000 0.0000
0.5000 0.5000 0.5000
0.1792 0.1658 0.9512
0.1792 0.3342 0.4512
0.2706 0.7427 0.8990
0.2706 0.7573 0.3990
0.4557 0.0856 0.7901
0.4557 0.4144 0.2901
0.5443 0.5856 0.7099
0.5443 0.9144 0.2099
0.7294 0.2427 0.6010
0.7294 0.2573 0.1010
0.8208 0.6658 0.5488
0.8208 0.8342 0.0488
```

***

(7)
# RbPa2Pd2Se6
Simulated powder X-ray diffraction pattern, Cu Kα X-rays. Input: a cell relaxed with PBE.

Largest 8 diffraction maxima, sorted by position, 2θ = 5–70°:
two_theta  Rel. int.
13.3  64.5
14.5  40.3
15.4  69.2
28.8  100.0
29.1  81.2
33.5  74.5
40.8  46.6
42.2  42.8

Structure:
```
RbPa2Pd2Se6
1.0
6.9355 0.0000 0.0000
3.4098 6.7808 0.0000
2.6301 2.8170 6.6363
Rb Pa Pd Se
1 2 2 6
direct
0.0000 0.0000 0.0000
0.0097 0.6662 0.6721
0.9903 0.3338 0.3279
0.4875 0.7124 0.3587
0.5125 0.2876 0.6413
0.2473 0.9282 0.5744
0.2489 0.5250 0.3616
0.2590 0.3086 0.9643
0.7410 0.6914 0.0357
0.7511 0.4750 0.6384
0.7527 0.0718 0.4256
```

***

(8)
# Cs5Rb2Cl
Simulated powder X-ray diffraction pattern, Cu Kα X-rays. Input: a cell relaxed with PBE.

Largest 8 diffraction maxima, sorted by position, 2θ = 5–70°:
two_theta  Rel. int.
18.9  37.0
20.9  100.0
21.0  60.5
22.1  86.8
28.4  26.9
35.2  25.2
36.7  38.5
39.6  26.4

Structure:
```
Cs5Rb2Cl
1.0
4.2207 -7.5618 0.0000
4.2207 7.5618 0.0000
0.0000 0.0000 24.0485
Cs Rb Cl
10 4 2
direct
0.0921 0.9079 0.6463
0.0921 0.9079 0.8537
0.2504 0.7496 0.2500
0.4078 0.5922 0.6466
0.4078 0.5922 0.8534
0.5922 0.4078 0.1466
0.5922 0.4078 0.3534
0.7496 0.2504 0.7500
0.9079 0.0921 0.1463
0.9079 0.0921 0.3537
0.2545 0.7455 0.0457
0.2545 0.7455 0.4543
0.7455 0.2545 0.5457
0.7455 0.2545 0.9543
0.2497 0.7503 0.7500
0.7503 0.2497 0.2500
```

***

(9)
# Li3RuF7
Simulated powder X-ray diffraction pattern, Cu Kα X-rays. Input: a cell relaxed with PBE.

Largest 8 diffraction maxima, sorted by position, 2θ = 5–70°:
two_theta  Rel. int.
18.6  44.9
19.6  100.0
20.4  77.0
23.2  24.0
26.8  22.3
29.9  31.8
32.6  21.9
33.9  21.9

Structure:
```
Li3RuF7
1.0
3.3303 -3.8415 0.0000
3.3303 3.8415 0.0000
-3.0208 0.0000 4.7718
Li Ru F
3 1 7
direct
0.0000 0.0000 0.0000
0.3232 0.7572 0.6153
0.7572 0.3232 0.6153
0.4880 0.4880 0.0753
0.1406 0.1406 0.7674
0.1769 0.6437 0.8798
0.3298 0.3298 0.3009
0.5285 0.8615 0.3731
0.6437 0.1769 0.8798
0.6720 0.6720 0.8813
0.8615 0.5285 0.3731
```

***

(10)
# LiNd2HoTe4
Simulated powder X-ray diffraction pattern, Cu Kα X-rays. Input: a cell relaxed with PBE.

Largest 8 diffraction maxima, sorted by position, 2θ = 5–70°:
two_theta  Rel. int.
28.7  100.0
40.8  12.5
40.9  24.7
41.1  38.0
51.0  13.4
59.4  12.3
67.1  10.6
67.4  11.4

Structure:
```
LiNd2HoTe4
1.0
7.6080 0.0000 0.0000
0.0000 4.3837 0.0000
-2.5113 0.0000 7.2440
Li Nd Ho Te
1 2 1 4
direct
0.0000 0.0000 0.0000
0.0000 0.5000 0.5000
0.5000 0.0000 0.5000
0.5000 0.5000 0.0000
0.2400 0.5000 0.2316
0.2500 0.0000 0.7668
0.7500 0.0000 0.2332
0.7600 0.5000 0.7684
```

***

(11)
# LiCaCl
Simulated powder X-ray diffraction pattern, Cu Kα X-rays. Input: a cell relaxed with PBE.

Largest 8 diffraction maxima, sorted by position, 2θ = 5–70°:
two_theta  Rel. int.
13.7  50.7
27.1  50.0
27.8  31.6
30.5  13.4
34.1  100.0
41.9  12.1
50.7  13.0
52.6  25.3

Structure:
```
LiCaCl
1.0
3.8356 0.0000 0.0000
0.0000 6.5705 0.0000
0.0000 0.0000 12.9281
Li Ca Cl
4 4 4
direct
0.0000 0.0000 0.0000
0.0000 0.5000 0.5000
0.5000 0.0000 0.5000
0.5000 0.5000 0.0000
0.0000 0.0000 0.2907
0.0000 0.5000 0.7907
0.5000 0.0000 0.7907
0.5000 0.5000 0.2907
0.0000 0.0000 0.6268
0.0000 0.5000 0.1268
0.5000 0.0000 0.1268
0.5000 0.5000 0.6268
```

***

(12)
# La6Bi3Ru
Simulated powder X-ray diffraction pattern, Cu Kα X-rays. Input: a cell relaxed with PBE.

Largest 8 diffraction maxima, sorted by position, 2θ = 5–70°:
two_theta  Rel. int.
21.6  100.0
22.0  37.7
30.1  96.6
31.9  68.1
32.7  91.8
36.6  39.0
41.2  37.0
55.6  37.5

Structure:
```
La6Bi3Ru
1.0
6.2136 -7.6224 0.0000
6.2136 7.6224 0.0000
0.0000 0.0000 7.8644
La Bi Ru
12 6 2
direct
0.0080 0.9920 0.5000
0.0955 0.6055 0.5915
0.2356 0.7644 0.0512
0.3090 0.3719 0.0630
0.3719 0.3090 0.5630
0.3945 0.9045 0.5915
0.6055 0.0955 0.0915
0.6281 0.6910 0.0630
0.6910 0.6281 0.5630
0.7644 0.2356 0.5512
0.9045 0.3945 0.0915
0.9920 0.0080 0.0000
0.0724 0.2909 0.7589
0.2909 0.0724 0.2589
0.3864 0.6136 0.3656
0.6136 0.3864 0.8656
0.7091 0.9276 0.7589
0.9276 0.7091 0.2589
0.1501 0.8499 0.7478
0.8499 0.1501 0.2478
```

***

What did the third record say?
# ThGeHPd
Simulated powder X-ray diffraction pattern, Cu Kα X-rays. Input: a cell relaxed with PBE.

Largest 8 diffraction maxima, sorted by position, 2θ = 5–70°:
two_theta  Rel. int.
23.2  20.2
32.5  100.0
40.8  45.4
45.9  10.4
52.0  6.0
53.1  25.5
63.0  24.2
69.1  23.4

Structure:
```
ThGeHPd
1.0
4.4233 0.0000 0.0000
-2.2116 3.8307 0.0000
0.0000 0.0000 3.9570
Th Ge H Pd
1 1 1 1
direct
0.0000 0.0000 0.0000
0.6667 0.3333 0.5272
0.3333 0.6667 0.0024
0.3333 0.6667 0.4791
```

***

Please write out number 5 again, unchanged.
# Na3Sr6Hg
Simulated powder X-ray diffraction pattern, Cu Kα X-rays. Input: a cell relaxed with PBE.

Largest 8 diffraction maxima, sorted by position, 2θ = 5–70°:
two_theta  Rel. int.
10.5  46.0
15.6  15.5
16.3  23.7
26.0  47.6
28.5  100.0
31.6  24.5
31.6  31.4
43.0  19.6

Structure:
```
Na3Sr6Hg
1.0
6.2828 0.0000 0.0000
0.0000 10.8500 0.0000
-6.2661 0.0000 13.2602
Na Sr Hg
6 12 2
direct
0.0000 0.0000 0.0000
0.0000 0.5000 0.5000
0.2690 0.1562 0.7664
0.2690 0.3438 0.2664
0.7310 0.6562 0.7336
0.7310 0.8438 0.2336
0.0781 0.6538 0.0759
0.0781 0.8462 0.5759
0.2582 0.0106 0.2613
0.2582 0.4894 0.7613
0.4220 0.6882 0.4203
0.4220 0.8118 0.9203
0.5780 0.1882 0.0797
0.5780 0.3118 0.5797
0.7418 0.5106 0.2387
0.7418 0.9894 0.7387
0.9219 0.1538 0.4241
0.9219 0.3462 0.9241
0.5000 0.0000 0.5000
0.5000 0.5000 0.0000
```